No. 1
# LiCd2Pd2
Calculated powder XRD pattern, Cu Kα. Input: a crystal structure in Alexandria, relaxed with PBE.

Structure:
```
data_LiCd2Pd2
_chemical_formula_sum 'Li4 Cd8 Pd8'
_space_group_name_H-M_alt 'P b c m'
_space_group_IT_number 57
_space_group_name_Hall '-P 2c 2b'
_cell_length_a 8.5591
_cell_length_b 7.4425
_cell_length_c 5.6931
_cell_angle_alpha 90.00
_cell_angle_beta 90.00
_cell_angle_gamma 90.00
loop_
_atom_site_label
_atom_site_type_symbol
_atom_site_fract_x
_atom_site_fract_y
_atom_site_fract_z
Li1 Li 0.1226 0.0866 0.2500
Cd1 Cd 0.1647 0.0553 0.7500
Cd2 Cd 0.3798 0.6000 0.7500
Pd1 Pd 0.1021 0.7500 0.0000
Pd2 Pd 0.3757 0.2500 0.0000
```

The 8 most intense peaks (2θ from 10° to 90°), by angle:
| 2θ/deg | I/Imax |
| --- | --- |
| 23.97 | 25 |
| 28.70 | 100 |
| 39.87 | 53 |
| 39.92 | 82 |
| 42.10 | 60 |
| 42.24 | 25 |
| 75.45 | 22 |
| 81.10 | 24 |



No. 2
# Li7CdPd12
Calculated powder XRD pattern, Cu Kα. Input: a crystal structure in Alexandria, relaxed with PBE.

Structure:
```
data_Li7CdPd12
_chemical_formula_sum 'Li21 Cd3 Pd36'
_space_group_name_H-M_alt 'R -3'
_space_group_IT_number 148
_space_group_name_Hall '-R 3'
_cell_length_a 9.6641
_cell_length_b 9.6641
_cell_length_c 12.0043
_cell_angle_alpha 90.00
_cell_angle_beta 90.00
_cell_angle_gamma 120.00
loop_
_atom_site_label
_atom_site_type_symbol
_atom_site_fract_x
_atom_site_fract_y
_atom_site_fract_z
Li1 Li 0.0000 0.0000 0.0000
Li2 Li 0.0318 0.2059 0.3039
Cd1 Cd 0.0000 0.0000 0.5000
Pd1 Pd 0.0185 0.4490 0.1972
Pd2 Pd 0.0733 0.5864 0.5898
```

The 8 most intense peaks (2θ from 10° to 90°), by angle:
| 2θ/deg | I/Imax |
| --- | --- |
| 18.19 | 78 |
| 18.36 | 39 |
| 22.22 | 36 |
| 39.37 | 34 |
| 39.54 | 100 |
| 41.48 | 60 |
| 41.72 | 35 |
| 43.46 | 43 |



No. 3
# Li3CdPd3
Calculated powder XRD pattern, Cu Kα. Input: a crystal structure in Alexandria, relaxed with PBE.

Structure:
```
data_Li3CdPd3
_chemical_formula_sum 'Li12 Cd4 Pd12'
_space_group_name_H-M_alt 'C m m m'
_space_group_IT_number 65
_space_group_name_Hall '-C 2 2'
_cell_length_a 8.2814
_cell_length_b 8.9727
_cell_length_c 6.0039
_cell_angle_alpha 90.00
_cell_angle_beta 90.00
_cell_angle_gamma 90.00
loop_
_atom_site_label
_atom_site_type_symbol
_atom_site_fract_x
_atom_site_fract_y
_atom_site_fract_z
Li1 Li 0.0000 0.2340 0.0000
Li2 Li 0.0000 0.2458 0.5000
Li3 Li 0.2324 0.5000 0.5000
Cd1 Cd 0.2122 0.5000 0.0000
Pd1 Pd 0.0000 0.0000 0.2601
Pd2 Pd 0.2500 0.2500 0.2603
```

The 8 most intense peaks (2θ from 10° to 90°), by angle:
| 2θ/deg | I/Imax |
| --- | --- |
| 14.56 | 26 |
| 21.46 | 33 |
| 29.35 | 31 |
| 33.28 | 18 |
| 36.00 | 19 |
| 40.20 | 31 |
| 42.29 | 100 |
| 43.72 | 19 |